This entry pairs a crystal structure of Be4AlNi with its theoretical XRD peak list. Radiation: Cu Kα (weighted mean of Kα1 and Kα2). Structure: a DFT-relaxed cell (GGA-PBE, the Materials Project).
Kinematic intensities with the Lorentz-polarization factor, no thermal factor.

Crystal structure
```
data_Be4AlNi
_space_group_name_H-M_alt 'F -4 3 m'
_space_group_IT_number 216
_space_group_name_Hall 'F -4 2 3'
_cell_length_a 6.0152
_cell_length_b 6.0152
_cell_length_c 6.0152
_cell_angle_alpha 90.00
_cell_angle_beta 90.00
_cell_angle_gamma 90.00
loop_
_atom_site_label
_atom_site_fract_x
_atom_site_fract_y
_atom_site_fract_z
Be1 0.1240 0.1240 0.1240
Al1 0.0000 0.0000 0.5000
Ni1 0.2500 0.2500 0.7500
```

Largest 9 diffraction maxima, by intensity, 10 to 80 degrees two-theta:
hkl 1 1 1, 2θ = 25.65°, rel. 100; hkl 2 2 0, 2θ = 42.51°, rel. 93; hkl 3 1 1, 2θ = 50.31°, rel. 86; hkl 4 2 2, 2θ = 77.79°, rel. 28; hkl 2 0 0, 2θ = 29.70°, rel. 21; hkl 3 3 1, 2θ = 67.92°, rel. 17; hkl 4 0 0, 2θ = 61.68°, rel. 8; hkl 2 2 2, 2θ = 52.71°, rel. 7; hkl 4 2 0, 2θ = 69.94°, rel. 6